# Pm3Al3Ru2
Theoretical XRD peak list, λ = 1.5418 Å (Cu Kα). Input: a DFT-relaxed cell (GGA-PBE, Alexandria).
Lines closer than 0.1° are merged.

Top 10 peaks for 10 to 90 degrees two-theta, in order of rising 2θ:
(0 4 0), 2θ 23.0, intensity 28; (1 3 1), 2θ 25.6, intensity 47; (2 1 1), 2θ 28.1, intensity 28; (1 4 1), 2θ 29.9, intensity 49; (2 4 0), 2θ 32.8, intensity 100; (0 6 0), 2θ 34.9, intensity 33; (2 4 1), 2θ 36.2, intensity 51; (1 3 2), 2θ 36.8, intensity 53; (3 0 1), 2θ 38.0, intensity 50; (1 7 2), 2θ 53.0, intensity 32

Cell and atoms:
Cell lengths 7.7328, 15.4454, 5.9476 Å; angles 90.00, 90.00, 90.00 degrees
Atoms (fractional coordinates):
Pm1 0.0346 0.1069 0.1020
Pm2 0.0346 0.3931 0.1020
Pm3 0.1735 0.2500 0.6242
Pm4 0.3265 0.7500 0.1242
Pm5 0.4654 0.6069 0.6020
Pm6 0.4654 0.8931 0.6020
Pm7 0.5346 0.1069 0.3980
Pm8 0.5346 0.3931 0.3980
Pm9 0.6735 0.2500 0.8758
Pm10 0.8265 0.7500 0.3758
Pm11 0.9654 0.6069 0.8980
Pm12 0.9654 0.8931 0.8980
Al1 0.1559 0.0348 0.5917
Al2 0.1559 0.4652 0.5917
Al3 0.1725 0.7500 0.6090
Al4 0.3275 0.2500 0.1090
Al5 0.3441 0.5348 0.0917
Al6 0.3441 0.9652 0.0917
Al7 0.6559 0.0348 0.9083
Al8 0.6559 0.4652 0.9083
Al9 0.6725 0.7500 0.8910
Al10 0.8275 0.2500 0.3910
Al11 0.8441 0.5348 0.4083
Al12 0.8441 0.9652 0.4083
Ru1 0.1384 0.6056 0.3661
Ru2 0.1384 0.8944 0.3661
Ru3 0.3616 0.1056 0.8661
Ru4 0.3616 0.3944 0.8661
Ru5 0.6384 0.6056 0.1339
Ru6 0.6384 0.8944 0.1339
Ru7 0.8616 0.1056 0.6339
Ru8 0.8616 0.3944 0.6339